Entry 1:
The following is a simulated powder XRD pattern of Tm2MnNi3. It was derived from the PBE geometry in Alexandria, using Cu Kα, 1.54184 Å.
Kinematic intensities with the Lorentz-polarization factor, no thermal factor.

Main lines, low angle first (10 to 90 degrees two-theta):
34.8 deg, I = 67; 38.9 deg, I = 98; 41.5 deg, I = 100; 41.9 deg, I = 58; 65.1 deg, I = 42; 71.8 deg, I = 28

Atomic structure:
```
Tm2MnNi3
1.0
5.1588 0.0000 0.0000
-2.5794 4.4677 0.0000
0.0000 0.0000 8.1304
Tm Mn Ni
4 2 6
direct
0.3333 0.6667 0.0619
0.3333 0.6667 0.4381
0.6667 0.3333 0.5619
0.6667 0.3333 0.9381
0.0000 0.0000 0.0000
0.0000 0.0000 0.5000
0.1684 0.3368 0.7500
0.1684 0.8316 0.7500
0.3368 0.1684 0.2500
0.6632 0.8316 0.7500
0.8316 0.1684 0.2500
0.8316 0.6632 0.2500
```

Entry 2:
The following is a simulated powder XRD pattern of Pa2Zn5Pt. It was derived from the PBE geometry in Alexandria, using Cu Kα, 1.54184 Å.
Kinematic intensities with the Lorentz-polarization factor, no thermal factor.

Main lines, low angle first (10 to 90 degrees two-theta):
29.9 deg, I = 40; 33.9 deg, I = 100; 35.2 deg, I = 56; 37.7 deg, I = 29; 43.4 deg, I = 35; 49.7 deg, I = 23

Atomic structure:
```
Pa2Zn5Pt
1.0
2.0837 -8.0662 0.0000
2.0837 8.0662 0.0000
0.0000 0.0000 8.8665
Pa Zn Pt
4 10 2
direct
0.0000 0.0000 0.0000
0.0000 0.0000 0.5000
0.1940 0.8060 0.7500
0.8060 0.1940 0.2500
0.1893 0.8107 0.1087
0.1893 0.8107 0.3913
0.3479 0.6521 0.0205
0.3479 0.6521 0.4795
0.3962 0.6038 0.7500
0.6038 0.3962 0.2500
0.6521 0.3479 0.5205
0.6521 0.3479 0.9795
0.8107 0.1893 0.6087
0.8107 0.1893 0.8913
0.4459 0.5541 0.2500
0.5541 0.4459 0.7500
```

Entry 3:
The following is a simulated powder XRD pattern of AlB5. It was derived from the PBE geometry in Alexandria, using Cu Kα, 1.54184 Å.
Kinematic intensities with the Lorentz-polarization factor, no thermal factor.

Main lines, low angle first (10 to 90 degrees two-theta):
19.5 deg, I = 100; 36.1 deg, I = 79; 37.4 deg, I = 85; 39.2 deg, I = 74; 46.1 deg, I = 61; 64.6 deg, I = 78

Atomic structure:
```
AlB5
1.0
1.9681 -4.5476 0.0000
1.9681 4.5476 0.0000
0.0000 0.0000 2.9733
Al B
1 5
direct
0.0000 0.0000 0.0000
0.2969 0.7031 0.5000
0.3908 0.6092 0.0000
0.5000 0.5000 0.5000
0.6092 0.3908 0.0000
0.7031 0.2969 0.5000
```